Diffraction record for MgTi3V5O16. The XRD peak list is calculated, not measured: it uses a cell relaxed with PBE+U and Cu Kα.
Lines closer than 0.1° are merged.

The 12 most intense peaks (5° ≤ 2θ ≤ 70°), in order of rising 2θ:
- (0 0 2), 19.16 deg, rel. 100
- (0 1 1), 19.44 deg, rel. 49
- (1 1 1), 19.54 deg, rel. 42
- (0 1 -1), 19.78 deg, rel. 29
- (1 0 -1), 19.92 deg, rel. 44
- (1 1 -1), 20.36 deg, rel. 52
- (1 -1 2), 35.42 deg, rel. 66
- (0 2 1), 35.80 deg, rel. 41
- (2 0 2), 39.46 deg, rel. 34
- (2 2 3), 45.13 deg, rel. 42
- (2 2 -4), 54.97 deg, rel. 31
- (2 -2 0), 61.65 deg, rel. 33

Structure:
```
MgTi3V5O16
1.0
5.893 0.000 0.000
2.839 5.186 0.000
0.413 0.178 9.266
Mg Ti V O
1 3 5 16
Direct
0.000 0.000 0.000
0.024 0.026 0.687
0.392 0.833 0.232
0.848 0.333 0.258
0.031 0.522 0.743
0.342 0.351 0.235
0.519 0.031 0.745
0.527 0.523 0.960
0.837 0.836 0.458
0.000 0.004 0.356
0.147 0.707 0.602
0.168 0.164 0.132
0.203 0.206 0.626
0.229 0.669 0.103
0.343 0.878 0.841
0.361 0.367 0.837
0.511 0.520 0.346
0.523 0.006 0.344
0.671 0.664 0.108
0.675 0.225 0.111
0.706 0.147 0.603
0.714 0.717 0.615
0.867 0.871 0.840
0.870 0.350 0.841
0.996 0.520 0.345
```